# ZnS
Theoretical XRD peak list, CuKα. Input: a DFT-relaxed cell (GGA-PBE, the Materials Project).
Peak positions follow from Bragg's law for the DFT cell and can differ from measured ones.

Crystal structure
Lattice parameters (Å, degrees): 3.8754 3.8754 169.5082 90.00 90.00 120.00
Space group R3m (No. 160, hexagonal axes)
Asymmetric unit:
Zn  0.0000  0.0000  0.0000 (multiplicity 3)
Zn  0.0000  0.0000  0.0370 (multiplicity 3)
Zn  0.0000  0.0000  0.0926 (multiplicity 3)
Zn  0.0000  0.0000  0.1667 (multiplicity 3)
Zn  0.0000  0.0000  0.2222 (multiplicity 3)
Zn  0.0000  0.0000  0.2778 (multiplicity 3)
Zn  0.0000  0.0000  0.3148 (multiplicity 3)
Zn  0.0000  0.0000  0.3889 (multiplicity 3)
Zn  0.0000  0.0000  0.4445 (multiplicity 3)
Zn  0.0000  0.0000  0.4815 (multiplicity 3)
Zn  0.0000  0.0000  0.5185 (multiplicity 3)
Zn  0.0000  0.0000  0.5741 (multiplicity 3)
Zn  0.0000  0.0000  0.6296 (multiplicity 3)
Zn  0.0000  0.0000  0.6852 (multiplicity 3)
Zn  0.0000  0.0000  0.7407 (multiplicity 3)
Zn  0.0000  0.0000  0.7963 (multiplicity 3)
Zn  0.0000  0.0000  0.8704 (multiplicity 3)
Zn  0.0000  0.0000  0.9259 (multiplicity 3)
S  0.0000  0.0000  0.0139 (multiplicity 3)
S  0.0000  0.0000  0.0509 (multiplicity 3)
S  0.0000  0.0000  0.1065 (multiplicity 3)
S  0.0000  0.0000  0.1805 (multiplicity 3)
S  0.0000  0.0000  0.2361 (multiplicity 3)
S  0.0000  0.0000  0.2916 (multiplicity 3)
S  0.0000  0.0000  0.3287 (multiplicity 3)
S  0.0000  0.0000  0.4028 (multiplicity 3)
S  0.0000  0.0000  0.4583 (multiplicity 3)
S  0.0000  0.0000  0.4953 (multiplicity 3)
S  0.0000  0.0000  0.5324 (multiplicity 3)
S  0.0000  0.0000  0.5879 (multiplicity 3)
S  0.0000  0.0000  0.6435 (multiplicity 3)
S  0.0000  0.0000  0.6991 (multiplicity 3)
S  0.0000  0.0000  0.7546 (multiplicity 3)
S  0.0000  0.0000  0.8102 (multiplicity 3)
S  0.0000  0.0000  0.8842 (multiplicity 3)
S  0.0000  0.0000  0.9398 (multiplicity 3)

Largest 8 diffraction maxima, in order of rising 2θ, 2θ = 10–90°:
2θ/deg  intensity
27.6  22
28.1  90
28.4  94
28.6  21
29.2  27
46.7  34
46.9  100
55.7  68